Structure and simulated X-ray diffraction stick pattern of K2MgSb2O6 (a crystal structure in the Materials Project, relaxed with GGA-PBE; Cu Kα (weighted mean of Kα1 and Kα2)).
Peak positions follow from Bragg's law for the DFT cell and can differ from measured ones.

Top 10 peaks for 10 to 80 degrees two-theta, by angle:
16.1°, d 5.510, I = 478
18.1°, d 4.911, I = 389
20.3°, d 4.367, I = 388
30.1°, d 2.969, I = 1000
32.2°, d 2.781, I = 526
34.3°, d 2.614, I = 395
44.6°, d 2.030, I = 360
44.9°, d 2.020, I = 460
53.4°, d 1.714, I = 248
54.8°, d 1.676, I = 278

Atomic structure:
abc: 6.490 6.490 6.490
angles: 54.46 54.46 54.46
Fractional positions:
K 0.118 0.118 0.118
K 0.882 0.882 0.882
Mg 0.500 0.500 0.500
Sb 0.323 0.323 0.323
Sb 0.677 0.677 0.677
O 0.107 0.490 0.630
O 0.370 0.893 0.510
O 0.490 0.630 0.107
O 0.510 0.370 0.893
O 0.630 0.107 0.490
O 0.893 0.510 0.370